Entry 1:
Computed powder diffractogram
Compound: Ti3Fe
Radiation: Cu Kα, 1.54184 Å
Structure: a cell relaxed with PBE
No peak broadening, texture or thermal motion is included.

Structure:
```
data_Ti3Fe
_chemical_formula_sum 'Ti12 Fe4'
_symmetry_space_group_name_H-M 'C 1 2/m 1'
_symmetry_Int_Tables_number 12
_symmetry_space_group_name_Hall '-C 2y'
_cell_length_a 5.099
_cell_length_b 9.324
_cell_length_c 5.284
_cell_angle_alpha 90.00
_cell_angle_beta 92.23
_cell_angle_gamma 90.00
loop_
_atom_site_label
_atom_site_fract_x
_atom_site_fract_y
_atom_site_fract_z
Ti1 0.246 0.000 0.366
Ti2 0.249 0.145 0.834
Fe1 0.000 0.263 0.500
```

Main lines, low angle first (15 to 90 degrees two-theta):
- hkl 0 0 1, 5.280 Å, 2θ 16.8, I = 50
- hkl 2 0 0, 2.547 Å, 2θ 35.2, I = 28
- hkl 1 3 -1, 2.390 Å, 2θ 37.6, I = 61
- hkl 1 3 1, 2.352 Å, 2θ 38.3, I = 100
- hkl 1 1 -2, 2.308 Å, 2θ 39.0, I = 63
- hkl 1 1 2, 2.238 Å, 2θ 40.3, I = 83
- hkl 0 4 1, 2.133 Å, 2θ 42.4, I = 78
- hkl 2 2 -1, 2.084 Å, 2θ 43.4, I = 47
- hkl 2 2 1, 2.034 Å, 2θ 44.6, I = 40
- hkl 0 2 3, 1.647 Å, 2θ 55.8, I = 29

---

Entry 2:
Computed powder diffractogram
Compound: Ti3Fe
Radiation: Cu Kα, 1.54184 Å
Structure: a cell relaxed with PBE
No peak broadening, texture or thermal motion is included.

Structure:
```
data_Ti3Fe
_chemical_formula_sum 'Ti6 Fe2'
_symmetry_space_group_name_H-M 'I m m m'
_symmetry_Int_Tables_number 71
_symmetry_space_group_name_Hall '-I 2 2'
_cell_length_a 3.021
_cell_length_b 4.441
_cell_length_c 8.908
_cell_angle_alpha 90.00
_cell_angle_beta 90.00
_cell_angle_gamma 90.00
loop_
_atom_site_label
_atom_site_fract_x
_atom_site_fract_y
_atom_site_fract_z
Ti1 0.000 0.000 0.000
Ti2 0.000 0.500 0.222
Fe1 0.000 0.000 0.500
```

Main lines, low angle first (15 to 90 degrees two-theta):
- hkl 0 1 1, 3.975 Å, 2θ 22.4, I = 5
- hkl 0 0 4, 2.227 Å, 2θ 40.5, I = 22
- hkl 0 2 0, 2.221 Å, 2θ 40.6, I = 28
- hkl 1 1 2, 2.179 Å, 2θ 41.4, I = 100
- hkl 1 0 3, 2.118 Å, 2θ 42.7, I = 4
- hkl 0 2 4, 1.572 Å, 2θ 58.7, I = 14
- hkl 2 0 0, 1.510 Å, 2θ 61.4, I = 7
- hkl 1 1 6, 1.276 Å, 2θ 74.3, I = 9
- hkl 1 3 2, 1.274 Å, 2θ 74.5, I = 15
- hkl 2 2 0, 1.249 Å, 2θ 76.2, I = 13

---

Entry 3:
Computed powder diffractogram
Compound: Ti4TlFe
Radiation: Cu Kα, 1.54184 Å
Structure: a cell relaxed with PBE
No peak broadening, texture or thermal motion is included.

Structure:
```
data_Ti4TlFe
_chemical_formula_sum 'Ti4 Tl1 Fe1'
_symmetry_space_group_name_H-M 'P 4/m m m'
_symmetry_Int_Tables_number 123
_symmetry_space_group_name_Hall '-P 4 2'
_cell_length_a 2.969
_cell_length_b 2.969
_cell_length_c 11.507
_cell_angle_alpha 90.00
_cell_angle_beta 90.00
_cell_angle_gamma 90.00
loop_
_atom_site_label
_atom_site_fract_x
_atom_site_fract_y
_atom_site_fract_z
Ti1 0.000 0.000 0.129
Ti2 0.500 0.500 0.294
Tl1 0.000 0.000 0.500
Fe1 0.500 0.500 0.000
```

Main lines, low angle first (15 to 90 degrees two-theta):
- hkl 0 0 2, 5.753 Å, 2θ 15.4, I = 42
- hkl 0 0 4, 2.875 Å, 2θ 31.1, I = 42
- hkl 1 0 2, 2.638 Å, 2θ 34.0, I = 41
- hkl 1 0 3, 2.348 Å, 2θ 38.3, I = 100
- hkl 1 1 0, 2.099 Å, 2θ 43.1, I = 44
- hkl 1 0 5, 1.819 Å, 2θ 50.2, I = 15
- hkl 1 1 5, 1.551 Å, 2θ 59.6, I = 14
- hkl 0 0 8, 1.438 Å, 2θ 64.8, I = 17
- hkl 1 0 8, 1.294 Å, 2θ 73.1, I = 17
- hkl 2 1 3, 1.255 Å, 2θ 75.8, I = 25

---

Entry 4:
Computed powder diffractogram
Compound: UTiFe
Radiation: Cu Kα, 1.54184 Å
Structure: a cell relaxed with PBE
No peak broadening, texture or thermal motion is included.

Structure:
```
data_UTiFe
_chemical_formula_sum 'U4 Ti4 Fe4'
_symmetry_space_group_name_H-M 'I m m a'
_symmetry_Int_Tables_number 74
_symmetry_space_group_name_Hall '-I 2b 2'
_cell_length_a 5.445
_cell_length_b 5.650
_cell_length_c 6.361
_cell_angle_alpha 90.00
_cell_angle_beta 90.00
_cell_angle_gamma 90.00
loop_
_atom_site_label
_atom_site_fract_x
_atom_site_fract_y
_atom_site_fract_z
U1 0.000 0.250 0.088
Ti1 0.000 0.000 0.500
Fe1 0.250 0.250 0.750
```

Main lines, low angle first (15 to 90 degrees two-theta):
- hkl 1 0 1, 4.136 Å, 2θ 21.5, I = 77
- hkl 0 2 0, 2.825 Å, 2θ 31.7, I = 42
- hkl 2 0 0, 2.722 Å, 2θ 32.9, I = 31
- hkl 1 1 2, 2.470 Å, 2θ 36.4, I = 83
- hkl 1 2 1, 2.333 Å, 2θ 38.6, I = 100
- hkl 2 1 1, 2.288 Å, 2θ 39.4, I = 52
- hkl 2 0 2, 2.068 Å, 2θ 43.8, I = 26
- hkl 0 1 3, 1.985 Å, 2θ 45.7, I = 44
- hkl 1 3 2, 1.553 Å, 2θ 59.5, I = 21
- hkl 3 2 1, 1.485 Å, 2θ 62.6, I = 25

---

Entry 5:
Computed powder diffractogram
Compound: TiV5Fe2
Radiation: Cu Kα, 1.54184 Å
Structure: a cell relaxed with PBE
No peak broadening, texture or thermal motion is included.

Structure:
```
data_TiV5Fe2
_chemical_formula_sum 'Ti2 V10 Fe4'
_symmetry_space_group_name_H-M 'I m m m'
_symmetry_Int_Tables_number 71
_symmetry_space_group_name_Hall '-I 2 2'
_cell_length_a 4.213
_cell_length_b 7.010
_cell_length_c 7.385
_cell_angle_alpha 90.00
_cell_angle_beta 90.00
_cell_angle_gamma 90.00
loop_
_atom_site_label
_atom_site_fract_x
_atom_site_fract_y
_atom_site_fract_z
Ti1 0.000 0.000 0.000
V1 0.000 0.180 0.337
V2 0.000 0.500 0.000
Fe1 0.000 0.500 0.320
```

Main lines, low angle first (15 to 90 degrees two-theta):
- hkl 0 2 0, 3.505 Å, 2θ 25.4, I = 10
- hkl 1 2 1, 2.531 Å, 2θ 35.5, I = 26
- hkl 0 3 1, 2.228 Å, 2θ 40.5, I = 15
- hkl 1 0 3, 2.125 Å, 2θ 42.5, I = 100
- hkl 2 0 0, 2.106 Å, 2θ 42.9, I = 50
- hkl 1 3 0, 2.043 Å, 2θ 44.3, I = 52
- hkl 1 3 2, 1.788 Å, 2θ 51.1, I = 17
- hkl 0 3 3, 1.695 Å, 2θ 54.1, I = 26
- hkl 2 3 3, 1.320 Å, 2θ 71.4, I = 21
- hkl 3 0 3, 1.220 Å, 2θ 78.4, I = 14

---

Entry 6:
Computed powder diffractogram
Compound: Ti3VFe4
Radiation: Cu Kα, 1.54184 Å
Structure: a cell relaxed with PBE
No peak broadening, texture or thermal motion is included.

Structure:
```
data_Ti3VFe4
_chemical_formula_sum 'Ti3 V1 Fe4'
_symmetry_space_group_name_H-M 'P 4/m m m'
_symmetry_Int_Tables_number 123
_symmetry_space_group_name_Hall '-P 4 2'
_cell_length_a 2.932
_cell_length_b 2.932
_cell_length_c 11.737
_cell_angle_alpha 90.00
_cell_angle_beta 90.00
_cell_angle_gamma 90.00
loop_
_atom_site_label
_atom_site_fract_x
_atom_site_fract_y
_atom_site_fract_z
Ti1 0.000 0.000 0.000
Ti2 0.000 0.000 0.253
V1 0.000 0.000 0.500
Fe1 0.500 0.500 0.127
Fe2 0.500 0.500 0.381
```

Main lines, low angle first (15 to 90 degrees two-theta):
- hkl 1 0 0, 2.933 Å, 2θ 30.5, I = 1
- hkl 1 1 0, 2.074 Å, 2θ 43.6, I = 100
- hkl 2 0 0, 1.466 Å, 2θ 63.4, I = 15
- hkl 2 1 4, 1.197 Å, 2θ 80.2, I = 28

---

Entry 7:
Computed powder diffractogram
Compound: Ti4VFe
Radiation: Cu Kα, 1.54184 Å
Structure: a cell relaxed with PBE
No peak broadening, texture or thermal motion is included.

Structure:
```
data_Ti4VFe
_chemical_formula_sum 'Ti12 V3 Fe3'
_symmetry_space_group_name_H-M 'R -3 m'
_symmetry_Int_Tables_number 166
_symmetry_space_group_name_Hall '-R 3 2"'
_cell_length_a 4.3850
_cell_length_b 4.3850
_cell_length_c 18.4117
_cell_angle_alpha 90.00
_cell_angle_beta 90.00
_cell_angle_gamma 120.00
loop_
_atom_site_label
_atom_site_fract_x
_atom_site_fract_y
_atom_site_fract_z
Ti1 0.0000 0.0000 0.1211
Ti2 0.0000 0.0000 0.3711
V1 0.0000 0.0000 0.5000
Fe1 0.0000 0.0000 0.0000
```

Main lines, low angle first (15 to 90 degrees two-theta):
- hkl 0 1 2, 3.511 Å, 2θ 25.4, I = 52
- hkl 0 0 6, 3.069 Å, 2θ 29.1, I = 12
- hkl 1 0 4, 2.929 Å, 2θ 30.5, I = 17
- hkl 1 1 0, 2.193 Å, 2θ 41.2, I = 100
- hkl 0 1 8, 1.968 Å, 2θ 46.1, I = 68
- hkl 1 1 6, 1.784 Å, 2θ 51.2, I = 14
- hkl 2 0 8, 1.465 Å, 2θ 63.5, I = 24
- hkl 3 0 0, 1.266 Å, 2θ 75.0, I = 14
- hkl 1 2 8, 1.218 Å, 2θ 78.5, I = 24
- hkl 2 2 0, 1.096 Å, 2θ 89.4, I = 9

---

Entry 8:
Computed powder diffractogram
Compound: TiZn2Fe
Radiation: Cu Kα, 1.54184 Å
Structure: a cell relaxed with PBE
No peak broadening, texture or thermal motion is included.

Structure:
```
data_TiZn2Fe
_chemical_formula_sum 'Ti1 Zn2 Fe1'
_symmetry_space_group_name_H-M 'P 4/m m m'
_symmetry_Int_Tables_number 123
_symmetry_space_group_name_Hall '-P 4 2'
_cell_length_a 3.628
_cell_length_b 3.628
_cell_length_c 4.199
_cell_angle_alpha 90.00
_cell_angle_beta 90.00
_cell_angle_gamma 90.00
loop_
_atom_site_label
_atom_site_fract_x
_atom_site_fract_y
_atom_site_fract_z
Ti1 0.000 0.000 0.000
Zn1 0.000 0.500 0.500
Fe1 0.500 0.500 0.000
```

Main lines, low angle first (15 to 90 degrees two-theta):
- hkl 0 0 1, 4.199 Å, 2θ 21.2, I = 3
- hkl 1 1 0, 2.566 Å, 2θ 35.0, I = 2
- hkl 1 1 1, 2.189 Å, 2θ 41.2, I = 100
- hkl 0 0 2, 2.099 Å, 2θ 43.1, I = 22
- hkl 2 0 0, 1.814 Å, 2θ 50.3, I = 27
- hkl 2 0 2, 1.373 Å, 2θ 68.3, I = 20
- hkl 2 2 0, 1.283 Å, 2θ 73.9, I = 8
- hkl 1 1 3, 1.229 Å, 2θ 77.7, I = 13
- hkl 3 1 1, 1.107 Å, 2θ 88.3, I = 19
- hkl 2 2 2, 1.095 Å, 2θ 89.5, I = 9

---

Entry 9:
Computed powder diffractogram
Compound: Ti4ZnFe5
Radiation: Cu Kα, 1.54184 Å
Structure: a cell relaxed with PBE
No peak broadening, texture or thermal motion is included.

Structure:
```
data_Ti4ZnFe5
_chemical_formula_sum 'Ti4 Zn1 Fe5'
_symmetry_space_group_name_H-M 'P 4/m m m'
_symmetry_Int_Tables_number 123
_symmetry_space_group_name_Hall '-P 4 2'
_cell_length_a 2.957
_cell_length_b 2.957
_cell_length_c 14.542
_cell_angle_alpha 90.00
_cell_angle_beta 90.00
_cell_angle_gamma 90.00
loop_
_atom_site_label
_atom_site_fract_x
_atom_site_fract_y
_atom_site_fract_z
Ti1 0.000 0.000 0.102
Ti2 0.000 0.000 0.307
Zn1 0.000 0.000 0.500
Fe1 0.500 0.500 0.000
Fe2 0.500 0.500 0.201
Fe3 0.500 0.500 0.400
```

Main lines, low angle first (15 to 90 degrees two-theta):
- hkl 1 0 0, 2.957 Å, 2θ 30.2, I = 1
- hkl 1 0 1, 2.898 Å, 2θ 30.9, I = 1
- hkl 1 0 2, 2.740 Å, 2θ 32.7, I = 1
- hkl 1 1 0, 2.091 Å, 2θ 43.3, I = 52
- hkl 1 0 5, 2.074 Å, 2θ 43.6, I = 100
- hkl 1 0 6, 1.875 Å, 2θ 48.6, I = 1
- hkl 2 0 0, 1.479 Å, 2θ 62.8, I = 15
- hkl 0 0 10, 1.454 Å, 2θ 64.0, I = 7
- hkl 2 1 5, 1.204 Å, 2θ 79.6, I = 29
- hkl 1 1 10, 1.194 Å, 2θ 80.4, I = 14

---

Entry 10:
Computed powder diffractogram
Compound: Ti6Zn5Fe
Radiation: Cu Kα, 1.54184 Å
Structure: a cell relaxed with PBE
No peak broadening, texture or thermal motion is included.

Structure:
```
data_Ti6Zn5Fe
_chemical_formula_sum 'Ti12 Zn10 Fe2'
_symmetry_space_group_name_H-M 'I m m m'
_symmetry_Int_Tables_number 71
_symmetry_space_group_name_Hall '-I 2 2'
_cell_length_a 4.403
_cell_length_b 6.275
_cell_length_c 13.114
_cell_angle_alpha 90.00
_cell_angle_beta 90.00
_cell_angle_gamma 90.00
loop_
_atom_site_label
_atom_site_fract_x
_atom_site_fract_y
_atom_site_fract_z
Ti1 0.000 0.236 0.000
Ti2 0.000 0.262 0.342
Zn1 0.000 0.000 0.178
Zn2 0.000 0.000 0.500
Zn3 0.000 0.500 0.167
Fe1 0.000 0.500 0.500
```

Main lines, low angle first (15 to 90 degrees two-theta):
- hkl 1 0 3, 3.102 Å, 2θ 28.8, I = 4
- hkl 2 0 0, 2.205 Å, 2θ 40.9, I = 100
- hkl 0 0 6, 2.186 Å, 2θ 41.3, I = 19
- hkl 0 4 0, 1.569 Å, 2θ 58.9, I = 6
- hkl 2 0 6, 1.551 Å, 2θ 59.6, I = 12
- hkl 2 4 0, 1.278 Å, 2θ 74.2, I = 6
- hkl 0 4 6, 1.274 Å, 2θ 74.4, I = 5
- hkl 3 2 3, 1.272 Å, 2θ 74.6, I = 12
- hkl 1 2 9, 1.266 Å, 2θ 75.0, I = 10
- hkl 2 4 6, 1.103 Å, 2θ 88.7, I = 7

---

Entry 11:
Computed powder diffractogram
Compound: ZrTi3Fe
Radiation: Cu Kα, 1.54184 Å
Structure: a cell relaxed with PBE
No peak broadening, texture or thermal motion is included.

Structure:
```
data_ZrTi3Fe
_chemical_formula_sum 'Zr2 Ti6 Fe2'
_symmetry_space_group_name_H-M 'P 63/m m c'
_symmetry_Int_Tables_number 194
_symmetry_space_group_name_Hall '-P 6c 2c'
_cell_length_a 6.2074
_cell_length_b 6.2074
_cell_length_c 5.2777
_cell_angle_alpha 90.00
_cell_angle_beta 90.00
_cell_angle_gamma 120.00
loop_
_atom_site_label
_atom_site_fract_x
_atom_site_fract_y
_atom_site_fract_z
Zr1 0.3333 0.6667 0.2500
Ti1 0.1821 0.3642 0.7500
Fe1 0.0000 0.0000 0.0000
```

Main lines, low angle first (15 to 90 degrees two-theta):
- hkl 1 1 0, 3.104 Å, 2θ 28.8, I = 31
- hkl 0 0 2, 2.639 Å, 2θ 34.0, I = 17
- hkl 2 0 1, 2.395 Å, 2θ 37.6, I = 100
- hkl 1 0 2, 2.369 Å, 2θ 38.0, I = 23
- hkl 2 1 1, 1.896 Å, 2θ 48.0, I = 9
- hkl 2 0 2, 1.883 Å, 2θ 48.3, I = 36
- hkl 2 2 0, 1.552 Å, 2θ 59.6, I = 23
- hkl 2 0 3, 1.472 Å, 2θ 63.2, I = 20
- hkl 2 2 2, 1.338 Å, 2θ 70.4, I = 9
- hkl 4 0 1, 1.302 Å, 2θ 72.6, I = 11

---

Entry 12:
Computed powder diffractogram
Compound: Tl5Fe3
Radiation: Cu Kα, 1.54184 Å
Structure: a cell relaxed with PBE
No peak broadening, texture or thermal motion is included.

Structure:
```
data_Tl5Fe3
_chemical_formula_sum 'Tl10 Fe6'
_symmetry_space_group_name_H-M 'P 63/m c m'
_symmetry_Int_Tables_number 193
_symmetry_space_group_name_Hall '-P 6c 2'
_cell_length_a 8.1110
_cell_length_b 8.1110
_cell_length_c 6.0258
_cell_angle_alpha 90.00
_cell_angle_beta 90.00
_cell_angle_gamma 120.00
loop_
_atom_site_label
_atom_site_fract_x
_atom_site_fract_y
_atom_site_fract_z
Tl1 0.0000 0.2365 0.2500
Tl2 0.3333 0.6667 0.0000
Fe1 0.0000 0.4066 0.7500
```

Main lines, low angle first (15 to 90 degrees two-theta):
- hkl 2 0 0, 3.512 Å, 2θ 25.4, I = 21
- hkl 1 1 1, 3.364 Å, 2θ 26.5, I = 27
- hkl 1 0 2, 2.769 Å, 2θ 32.3, I = 43
- hkl 2 1 0, 2.655 Å, 2θ 33.8, I = 49
- hkl 2 1 1, 2.430 Å, 2θ 37.0, I = 100
- hkl 1 1 2, 2.419 Å, 2θ 37.2, I = 79
- hkl 3 0 0, 2.341 Å, 2θ 38.4, I = 30
- hkl 2 2 2, 1.682 Å, 2θ 54.6, I = 24
- hkl 2 1 3, 1.602 Å, 2θ 57.5, I = 28
- hkl 4 0 2, 1.517 Å, 2θ 61.1, I = 26